1.
Diffraction record for CaTb3Bi3. The X-ray powder pattern is theoretical, not measured: it uses a structure optimized by DFT (PBE) and Cu Ka.
No peak broadening, texture or thermal motion is included.

Structure:
```
data_CaTb3Bi3
_chemical_formula_sum 'Ca6 Tb18 Bi18'
_cell_length_a 9.2392
_cell_length_b 9.2392
_cell_length_c 18.9611
_cell_angle_alpha 90.00
_cell_angle_beta 90.00
_cell_angle_gamma 120.00
_symmetry_space_group_name_H-M 'R -3'
_symmetry_Int_Tables_number 148
_symmetry_space_group_name_Hall '-R 3'
loop_
_atom_site_label
_atom_site_fract_x
_atom_site_fract_y
_atom_site_fract_z
Ca1 0.0000 0.0000 0.1664
Tb1 0.0022 0.7456 0.5838
Bi1 0.0034 0.6151 0.4163
```

Top 6 peaks for 2θ from 10° to 90°, by angle:
h k l	d [Å]	Position (°2θ)	intensity
1 1 0	4.620	19.2	100
0 0 6	3.160	28.2	89
3 -2 2	2.881	31.0	85
3 0 0	2.667	33.6	68
1 1 6	2.608	34.4	71
2 1 4	2.550	35.2	58


2.
Diffraction record for Ca2TcBi. The X-ray powder pattern is theoretical, not measured: it uses a structure optimized by DFT (PBE) and Cu Ka.
No peak broadening, texture or thermal motion is included.

Structure:
```
data_Ca2TcBi
_chemical_formula_sum 'Ca8 Tc4 Bi4'
_cell_length_a 10.477
_cell_length_b 10.477
_cell_length_c 5.262
_cell_angle_alpha 90.00
_cell_angle_beta 90.00
_cell_angle_gamma 90.00
_symmetry_space_group_name_H-M 'I -4 2 d'
_symmetry_Int_Tables_number 122
_symmetry_space_group_name_Hall 'I -4 2bw'
loop_
_atom_site_label
_atom_site_fract_x
_atom_site_fract_y
_atom_site_fract_z
Ca1 0.085 0.250 0.125
Tc1 0.000 0.000 0.000
Bi1 0.000 0.000 0.500
```

Top 6 peaks for 2θ from 10° to 90°, by angle:
h k l	d [Å]	Position (°2θ)	intensity
2 0 0	5.238	16.9	100
2 2 0	3.704	24.0	39
2 1 1	3.499	25.5	26
1 1 2	2.479	36.2	37
4 2 0	2.343	38.4	40
3 1 2	2.060	43.9	43


3.
Diffraction record for Ca4BiTe3. The X-ray powder pattern is theoretical, not measured: it uses a structure optimized by DFT (PBE) and Cu Ka.
No peak broadening, texture or thermal motion is included.

Structure:
```
data_Ca4BiTe3
_chemical_formula_sum 'Ca4 Bi1 Te3'
_cell_length_a 6.427
_cell_length_b 6.427
_cell_length_c 6.427
_cell_angle_alpha 90.00
_cell_angle_beta 90.00
_cell_angle_gamma 90.00
_symmetry_space_group_name_H-M 'P m -3 m'
_symmetry_Int_Tables_number 221
_symmetry_space_group_name_Hall '-P 4 2 3'
loop_
_atom_site_label
_atom_site_fract_x
_atom_site_fract_y
_atom_site_fract_z
Ca1 0.000 0.000 0.000
Ca2 0.000 0.500 0.500
Bi1 0.500 0.500 0.500
Te1 0.000 0.000 0.500
```

Top 6 peaks for 2θ from 10° to 90°, by angle:
h k l	d [Å]	Position (°2θ)	intensity
1 1 1	3.710	24.0	55
2 0 0	3.213	27.8	100
2 2 0	2.272	39.7	76
3 1 1	1.938	46.9	30
2 2 2	1.855	49.1	27
4 2 0	1.437	64.9	35


4.
Diffraction record for Ca3Th5Bi8. The X-ray powder pattern is theoretical, not measured: it uses a structure optimized by DFT (PBE) and Cu Ka.
No peak broadening, texture or thermal motion is included.

Structure:
```
data_Ca3Th5Bi8
_chemical_formula_sum 'Ca9 Th15 Bi24'
_cell_length_a 9.2170
_cell_length_b 9.2170
_cell_length_c 22.5468
_cell_angle_alpha 90.00
_cell_angle_beta 90.00
_cell_angle_gamma 120.00
_symmetry_space_group_name_H-M 'R -3 m'
_symmetry_Int_Tables_number 166
_symmetry_space_group_name_Hall '-R 3 2"'
loop_
_atom_site_label
_atom_site_fract_x
_atom_site_fract_y
_atom_site_fract_z
Ca1 0.0000 0.5000 0.0000
Th1 0.0000 0.0000 0.0000
Th2 0.0000 0.0000 0.5000
Th3 0.0000 0.5000 0.5000
Bi1 0.0000 0.0000 0.2490
Bi2 0.0006 0.5003 0.2503
```

Top 6 peaks for 2θ from 10° to 90°, by angle:
h k l	d [Å]	Position (°2θ)	intensity
0 2 4	3.257	27.4	100
2 2 0	2.303	39.1	79
4 0 4	1.881	48.4	29
0 4 8	1.629	56.5	14
2 4 4	1.457	63.9	39
6 0 0	1.330	70.9	29


5.
Diffraction record for CaYTh2Bi4. The X-ray powder pattern is theoretical, not measured: it uses a structure optimized by DFT (PBE) and Cu Ka.
No peak broadening, texture or thermal motion is included.

Structure:
```
data_CaYTh2Bi4
_chemical_formula_sum 'Ca1 Y1 Th2 Bi4'
_cell_length_a 7.870
_cell_length_b 4.583
_cell_length_c 7.950
_cell_angle_alpha 90.00
_cell_angle_beta 109.57
_cell_angle_gamma 90.00
_symmetry_space_group_name_H-M 'P 1 2/m 1'
_symmetry_Int_Tables_number 10
loop_
_symmetry_equiv_pos_as_xyz
'x,y,z'
'-x,-y,-z'
'-x,y,-z'
'x,-y,z'
loop_
_atom_site_label
_atom_site_fract_x
_atom_site_fract_y
_atom_site_fract_z
Ca1 0.000 0.000 0.000
Y1 0.000 0.500 0.500
Th1 0.500 0.000 0.500
Th2 0.500 0.500 0.000
Bi1 0.244 0.000 0.746
Bi2 0.247 0.500 0.251
```

Top 6 peaks for 2θ from 10° to 90°, by angle:
h k l	d [Å]	Position (°2θ)	intensity
1 1 1	3.232	27.6	100
0 2 0	2.293	39.3	40
2 0 2	2.278	39.6	39
0 0 4	1.870	48.7	22
2 2 2	1.616	57.0	14
1 3 1	1.449	64.3	19


6.
Diffraction record for Ca3TlBi4. The X-ray powder pattern is theoretical, not measured: it uses a structure optimized by DFT (PBE) and Cu Ka.
No peak broadening, texture or thermal motion is included.

Structure:
```
data_Ca3TlBi4
_chemical_formula_sum 'Ca3 Tl1 Bi4'
_cell_length_a 4.317
_cell_length_b 5.166
_cell_length_c 12.806
_cell_angle_alpha 80.91
_cell_angle_beta 89.95
_cell_angle_gamma 90.00
_symmetry_space_group_name_H-M 'P -1'
_symmetry_Int_Tables_number 2
loop_
_symmetry_equiv_pos_as_xyz
'x,y,z'
'-x,-y,-z'
loop_
_atom_site_label
_atom_site_fract_x
_atom_site_fract_y
_atom_site_fract_z
Ca1 0.000 0.000 0.000
Ca2 0.500 0.352 0.360
Tl1 0.500 0.500 0.000
Bi1 0.001 0.154 0.601
Bi2 0.499 0.907 0.200
```

Top 6 peaks for 2θ from 10° to 90°, by angle:
h k l	d [Å]	Position (°2θ)	intensity
0 1 -1	4.491	19.8	42
1 0 1	4.085	21.8	65
1 1 -2	2.807	31.9	100
1 1 3	2.735	32.7	97
0 2 1	2.580	34.8	38
0 0 5	2.529	35.5	37


7.
Diffraction record for Ca6Tl4Bi7. The X-ray powder pattern is theoretical, not measured: it uses a structure optimized by DFT (PBE) and Cu Ka.
No peak broadening, texture or thermal motion is included.

Structure:
```
data_Ca6Tl4Bi7
_chemical_formula_sum 'Ca12 Tl8 Bi14'
_cell_length_a 10.440
_cell_length_b 10.440
_cell_length_c 10.440
_cell_angle_alpha 90.00
_cell_angle_beta 90.00
_cell_angle_gamma 90.00
_symmetry_space_group_name_H-M 'I m -3 m'
_symmetry_Int_Tables_number 229
_symmetry_space_group_name_Hall '-I 4 2 3'
loop_
_atom_site_label
_atom_site_fract_x
_atom_site_fract_y
_atom_site_fract_z
Ca1 0.000 0.000 0.301
Tl1 0.250 0.250 0.250
Bi1 0.000 0.000 0.000
Bi2 0.000 0.250 0.500
```

Top 6 peaks for 2θ from 10° to 90°, by angle:
h k l	d [Å]	Position (°2θ)	intensity
2 1 1	4.262	20.8	41
2 2 2	3.014	29.6	100
3 2 1	2.790	32.1	42
4 0 0	2.610	34.4	73
4 4 0	1.846	49.4	51
6 2 2	1.574	58.7	41


8.
Diffraction record for Ca4TlBi3. The X-ray powder pattern is theoretical, not measured: it uses a structure optimized by DFT (PBE) and Cu Ka.
No peak broadening, texture or thermal motion is included.

Structure:
```
data_Ca4TlBi3
_chemical_formula_sum 'Ca16 Tl4 Bi12'
_cell_length_a 12.522
_cell_length_b 12.522
_cell_length_c 6.652
_cell_angle_alpha 90.00
_cell_angle_beta 90.00
_cell_angle_gamma 90.00
_symmetry_space_group_name_H-M 'I 4/m c m'
_symmetry_Int_Tables_number 140
_symmetry_space_group_name_Hall '-I 4 2c'
loop_
_atom_site_label
_atom_site_fract_x
_atom_site_fract_y
_atom_site_fract_z
Ca1 0.072 0.222 0.000
Tl1 0.000 0.500 0.250
Bi1 0.000 0.000 0.250
Bi2 0.175 0.325 0.500
```

Top 6 peaks for 2θ from 10° to 90°, by angle:
h k l	d [Å]	Position (°2θ)	intensity
2 2 0	4.427	20.1	59
2 1 1	4.284	20.7	65
2 0 2	2.937	30.4	100
4 2 0	2.800	32.0	57
4 1 1	2.763	32.4	77
6 2 2	1.701	53.9	32


9.
Diffraction record for Ca8TlBi5. The X-ray powder pattern is theoretical, not measured: it uses a structure optimized by DFT (PBE) and Cu Ka.
No peak broadening, texture or thermal motion is included.

Structure:
```
data_Ca8TlBi5
_chemical_formula_sum 'Ca16 Tl2 Bi10'
_cell_length_a 9.760
_cell_length_b 9.760
_cell_length_c 9.671
_cell_angle_alpha 90.00
_cell_angle_beta 90.00
_cell_angle_gamma 90.00
_symmetry_space_group_name_H-M 'I -4'
_symmetry_Int_Tables_number 82
loop_
_symmetry_equiv_pos_as_xyz
'x,y,z'
'y,-x,-z'
'-x,-y,z'
'-y,x,-z'
'x+1/2,y+1/2,z+1/2'
'y+1/2,-x+1/2,-z+1/2'
'-x+1/2,-y+1/2,z+1/2'
'-y+1/2,x+1/2,-z+1/2'
loop_
_atom_site_label
_atom_site_fract_x
_atom_site_fract_y
_atom_site_fract_z
Ca1 0.075 0.316 0.064
Ca2 0.076 0.165 0.703
Tl1 0.000 0.500 0.750
Bi1 0.000 0.000 0.000
Bi2 0.135 0.248 0.385
```

Top 6 peaks for 2θ from 10° to 90°, by angle:
h k l	d [Å]	Position (°2θ)	intensity
2 1 1	3.978	22.3	100
1 1 2	3.960	22.5	56
3 0 1	3.085	28.9	95
1 0 3	3.061	29.2	43
1 3 2	2.604	34.4	61
3 2 3	2.074	43.6	42


10.
Diffraction record for Ca6TlBi5. The X-ray powder pattern is theoretical, not measured: it uses a structure optimized by DFT (PBE) and Cu Ka.
No peak broadening, texture or thermal motion is included.

Structure:
```
data_Ca6TlBi5
_chemical_formula_sum 'Ca12 Tl2 Bi10'
_cell_length_a 8.2479
_cell_length_b 8.2479
_cell_length_c 15.8036
_cell_angle_alpha 90.00
_cell_angle_beta 90.00
_cell_angle_gamma 120.00
_symmetry_space_group_name_H-M 'P 63/m c m'
_symmetry_Int_Tables_number 193
_symmetry_space_group_name_Hall '-P 6c 2'
loop_
_atom_site_label
_atom_site_fract_x
_atom_site_fract_y
_atom_site_fract_z
Ca1 0.0000 0.3700 0.1189
Tl1 0.0000 0.0000 0.2500
Bi1 0.0000 0.3412 0.7500
Bi2 0.3333 0.6667 0.0000
```

Top 6 peaks for 2θ from 10° to 90°, by angle:
h k l	d [Å]	Position (°2θ)	intensity
1 0 2	5.299	16.7	72
0 0 4	3.951	22.5	37
1 1 2	3.656	24.3	51
1 1 3	3.249	27.4	100
3 0 0	2.381	37.8	67
3 0 4	2.039	44.4	43


11.
Diffraction record for CaTm2Bi3. The X-ray powder pattern is theoretical, not measured: it uses a structure optimized by DFT (PBE) and Cu Ka.
No peak broadening, texture or thermal motion is included.

Structure:
```
data_CaTm2Bi3
_chemical_formula_sum 'Ca16 Tm32 Bi48'
_cell_length_a 9.030
_cell_length_b 12.703
_cell_length_c 26.856
_cell_angle_alpha 90.00
_cell_angle_beta 90.00
_cell_angle_gamma 90.00
_symmetry_space_group_name_H-M 'F d d d'
_symmetry_Int_Tables_number 70
loop_
_symmetry_equiv_pos_as_xyz
'x,y,z'
'-x,-y,-z'
'-x+1/4,-y+1/4,z'
'x+1/4,y+1/4,-z'
'x,-y+1/4,-z+1/4'
'-x,y+1/4,z+1/4'
'-x+1/4,y,-z+1/4'
'x+1/4,-y,z+1/4'
'x,y+1/2,z+1/2'
'-x,-y+1/2,-z+1/2'
'-x+1/4,-y+3/4,z+1/2'
'x+1/4,y+3/4,-z+1/2'
'x,-y+3/4,-z+3/4'
'-x,y+3/4,z+3/4'
'-x+1/4,y+1/2,-z+3/4'
'x+1/4,-y+1/2,z+3/4'
'x+1/2,y,z+1/2'
'-x+1/2,-y,-z+1/2'
'-x+3/4,-y+1/4,z+1/2'
'x+3/4,y+1/4,-z+1/2'
'x+1/2,-y+1/4,-z+3/4'
'-x+1/2,y+1/4,z+3/4'
'-x+3/4,y,-z+3/4'
'x+3/4,-y,z+3/4'
'x+1/2,y+1/2,z'
'-x+1/2,-y+1/2,-z'
'-x+3/4,-y+3/4,z'
'x+3/4,y+3/4,-z'
'x+1/2,-y+3/4,-z+1/4'
'-x+1/2,y+3/4,z+1/4'
'-x+3/4,y+1/2,-z+1/4'
'x+3/4,-y+1/2,z+1/4'
loop_
_atom_site_label
_atom_site_fract_x
_atom_site_fract_y
_atom_site_fract_z
Ca1 0.125 0.125 0.042
Tm1 0.125 0.125 0.373
Tm2 0.125 0.125 0.540
Bi1 0.114 0.375 0.875
Bi2 0.119 0.371 0.706
```

Top 6 peaks for 2θ from 10° to 90°, by angle:
h k l	d [Å]	Position (°2θ)	intensity
0 4 0	3.178	28.1	100
2 4 6	2.247	40.1	52
4 4 0	1.840	49.5	14
0 4 12	1.829	49.8	14
2 8 6	1.421	65.7	24
0 8 12	1.294	73.1	13


12.
Diffraction record for CaY4Bi5. The X-ray powder pattern is theoretical, not measured: it uses a structure optimized by DFT (PBE) and Cu Ka.
No peak broadening, texture or thermal motion is included.

Structure:
```
data_CaY4Bi5
_chemical_formula_sum 'Ca2 Y8 Bi10'
_cell_length_a 4.493
_cell_length_b 6.375
_cell_length_c 22.647
_cell_angle_alpha 90.00
_cell_angle_beta 90.00
_cell_angle_gamma 90.00
_symmetry_space_group_name_H-M 'I m m m'
_symmetry_Int_Tables_number 71
_symmetry_space_group_name_Hall '-I 2 2'
loop_
_atom_site_label
_atom_site_fract_x
_atom_site_fract_y
_atom_site_fract_z
Ca1 0.000 0.000 0.000
Y1 0.000 0.000 0.201
Y2 0.000 0.000 0.401
Bi1 0.000 0.500 0.000
Bi2 0.000 0.500 0.199
Bi3 0.000 0.500 0.396
```

Top 6 peaks for 2θ from 10° to 90°, by angle:
h k l	d [Å]	Position (°2θ)	intensity
0 1 5	3.692	24.1	17
1 1 0	3.673	24.2	17
0 2 0	3.189	28.0	100
1 2 5	2.255	40.0	52
2 2 0	1.836	49.6	14
1 4 5	1.426	65.5	24